Diffraction record for ErTe2O5. The X-ray powder pattern is theoretical, not measured: it uses a structure optimized by DFT (GGA-PBE) and CuKα.

Structure:
Unit cell a=7.3495 b=10.6588 c=6.9836 alpha=90.00 beta=90.00 gamma=90.00
Space group Pbcn (No. 60)
Symmetry-distinct sites (fractional):
Er  0.0000  0.0561  0.2500 [4 per cell]
Te  0.1092  0.3506  0.0151 [8 per cell]
O  0.0000  0.4383  0.2500 [4 per cell]
O  0.1568  0.0654  0.5309 [8 per cell]
O  0.1850  0.2117  0.1728 [8 per cell]

Most intense lines, 2θ = 10–90°, low angle first:
- hkl 1 1 1, 4.573 Å, 19.41°, I 35
- hkl 2 0 0, 3.672 Å, 24.24°, I 92
- hkl 1 3 0, 3.199 Å, 27.89°, I 58
- hkl 2 1 1, 3.110 Å, 28.70°, I 63
- hkl 1 1 2, 3.024 Å, 29.53°, I 100
- hkl 1 3 1, 2.908 Å, 30.74°, I 33
- hkl 0 4 2, 2.120 Å, 42.65°, I 42
- hkl 3 3 1, 1.936 Å, 46.93°, I 24
- hkl 2 5 1, 1.783 Å, 51.24°, I 23
- hkl 0 0 4, 1.746 Å, 52.40°, I 31

=====

Diffraction record for Er2Te5O13. The X-ray powder pattern is theoretical, not measured: it uses a structure optimized by DFT (GGA-PBE) and CuKα.

Structure:
Unit cell a=6.9820 b=8.7585 c=10.7567 alpha=89.15 beta=87.29 gamma=75.01
Space group P-1 (No. 2)
Symmetry-distinct sites (fractional):
Er  0.0008  0.2389  0.2392 [2 per cell]
Er  0.4470  0.9712  0.8209 [2 per cell]
Te  0.1238  0.8519  0.1056 [2 per cell]
Te  0.1551  0.3032  0.6446 [2 per cell]
Te  0.2711  0.8951  0.4886 [2 per cell]
Te  0.2916  0.3747  0.9771 [2 per cell]
Te  0.4424  0.4003  0.3006 [2 per cell]
O  0.0416  0.8511  0.5676 [2 per cell]
O  0.0590  0.3175  0.0401 [2 per cell]
O  0.0679  0.5166  0.6940 [2 per cell]
O  0.0677  0.7655  0.2749 [2 per cell]
O  0.1258  0.9903  0.8965 [2 per cell]
O  0.2352  0.9979  0.1864 [2 per cell]
O  0.3148  0.2354  0.2855 [2 per cell]
O  0.3247  0.7301  0.7772 [2 per cell]
O  0.3305  0.2381  0.7764 [2 per cell]
O  0.3373  0.0143  0.6193 [2 per cell]
O  0.3521  0.4816  0.1244 [2 per cell]
O  0.4589  0.6945  0.5209 [2 per cell]
O  0.4688  0.1692  0.0005 [2 per cell]

Most intense lines, 2θ = 10–90°, low angle first:
- hkl 0 1 0, 8.460 Å, 10.46°, I 12
- hkl 0 1 -3, 3.299 Å, 27.03°, I 100
- hkl 2 1 -1, 3.241 Å, 27.52°, I 58
- hkl 1 -2 0, 3.227 Å, 27.64°, I 47
- hkl 2 0 2, 2.914 Å, 30.68°, I 33
- hkl -1 1 3, 2.811 Å, 31.84°, I 25
- hkl 1 3 -1, 2.766 Å, 32.36°, I 24
- hkl 3 3 1, 2.011 Å, 45.07°, I 14
- hkl -3 1 1, 1.993 Å, 45.51°, I 14
- hkl 1 0 -6, 1.711 Å, 53.54°, I 12

=====

Diffraction record for ErTi2O5. The X-ray powder pattern is theoretical, not measured: it uses a structure optimized by DFT (GGA-PBE) and CuKα.

Structure:
Unit cell a=3.5047 b=11.9177 c=4.9333 alpha=90.00 beta=90.00 gamma=90.00
Space group Pmmn (No. 59, origin choice 2)
Symmetry-distinct sites (fractional):
Er  0.2500  0.2500  0.1287 [2 per cell]
Ti  0.2500  0.5950  0.4173 [4 per cell]
O  0.2500  0.0803  0.4107 [4 per cell]
O  0.2500  0.6383  0.0713 [4 per cell]
O  0.2500  0.7500  0.5735 [2 per cell]

Most intense lines, 2θ = 10–90°, low angle first:
- hkl 0 2 0, 5.959 Å, 14.87°, I 100
- hkl 0 1 1, 4.558 Å, 19.47°, I 58
- hkl 0 2 1, 3.800 Å, 23.41°, I 91
- hkl 0 3 1, 3.094 Å, 28.86°, I 63
- hkl 1 0 1, 2.857 Å, 31.31°, I 71
- hkl 1 1 1, 2.778 Å, 32.22°, I 68
- hkl 1 3 0, 2.628 Å, 34.12°, I 77
- hkl 0 1 2, 2.415 Å, 37.22°, I 32
- hkl 1 2 2, 1.911 Å, 47.59°, I 60
- hkl 1 4 2, 1.670 Å, 54.97°, I 39

=====

Diffraction record for Er3TlO6. The X-ray powder pattern is theoretical, not measured: it uses a structure optimized by DFT (GGA-PBE) and CuKα.

Structure:
Unit cell a=9.5958 b=9.5958 c=11.2446 alpha=90.00 beta=90.00 gamma=120.00
Space group R-3 (No. 148, hexagonal axes)
Symmetry-distinct sites (fractional):
Er  0.0401  0.7749  0.2079 [18 per cell]
Tl  0.0000  0.0000  0.0000 [3 per cell]
Tl  0.0000  0.0000  0.5000 [3 per cell]
O  0.0246  0.8012  0.4019 [18 per cell]
O  0.0287  0.8397  0.8654 [18 per cell]

Most intense lines, 2θ = 10–90°, low angle first:
- hkl 0 0 3, 3.748 Å, 23.74°, I 37
- hkl 2 0 2, 3.342 Å, 26.68°, I 45
- hkl 3 -1 1, 3.025 Å, 29.53°, I 95
- hkl 2 -1 3, 2.954 Å, 30.26°, I 39
- hkl 3 0 0, 2.770 Å, 32.32°, I 24
- hkl 1 2 2, 2.742 Å, 32.66°, I 100
- hkl 1 0 4, 2.663 Å, 33.66°, I 22
- hkl 3 -1 4, 2.095 Å, 43.19°, I 36
- hkl 4 1 0, 1.813 Å, 50.32°, I 41
- hkl 1 1 6, 1.746 Å, 52.42°, I 25

=====

Diffraction record for Er6Tl3O. The X-ray powder pattern is theoretical, not measured: it uses a structure optimized by DFT (GGA-PBE) and CuKα.

Structure:
Unit cell a=11.4723 b=16.9706 c=5.2879 alpha=90.00 beta=90.00 gamma=90.00
Space group Cmc2_1 (No. 36)
Symmetry-distinct sites (fractional):
Er  0.0000  0.0871  0.0000 [4 per cell]
Er  0.0000  0.2344  0.5198 [4 per cell]
Er  0.1668  0.4154  0.5013 [8 per cell]
Er  0.1707  0.2722  0.0072 [8 per cell]
Tl  0.0000  0.4228  0.9994 [4 per cell]
Tl  0.1633  0.0782  0.4975 [8 per cell]
O  0.0000  0.2144  0.9632 [4 per cell]

Most intense lines, 2θ = 10–90°, low angle first:
- hkl 0 6 0, 2.828 Å, 31.63°, I 25
- hkl 3 3 1, 2.718 Å, 32.96°, I 100
- hkl 0 0 2, 2.644 Å, 33.90°, I 25
- hkl 0 6 2, 1.931 Å, 47.05°, I 16
- hkl 6 0 0, 1.912 Å, 47.56°, I 10
- hkl 3 9 1, 1.611 Å, 57.19°, I 14
- hkl 6 6 0, 1.584 Å, 58.24°, I 9
- hkl 6 0 2, 1.549 Å, 59.68°, I 10
- hkl 3 3 3, 1.540 Å, 60.07°, I 18
- hkl 6 6 2, 1.359 Å, 69.13°, I 10

=====

Diffraction record for ErU3Tl2O12. The X-ray powder pattern is theoretical, not measured: it uses a structure optimized by DFT (GGA-PBE) and CuKα.

Structure:
Unit cell a=8.1251 b=8.1251 c=19.1099 alpha=90.00 beta=90.00 gamma=120.00
Space group R-3m (No. 166, hexagonal axes)
Symmetry-distinct sites (fractional):
Er  0.0000  0.0000  0.0000 [3 per cell]
U  0.0000  0.5000  0.5000 [9 per cell]
Tl  0.0000  0.0000  0.3223 [6 per cell]
O  0.0707  0.5353  0.6000 [18 per cell]
O  0.0947  0.5473  0.8559 [18 per cell]

Most intense lines, 2θ = 10–90°, low angle first:
- hkl 1 0 1, 6.603 Å, 13.41°, I 29
- hkl 0 1 2, 5.666 Å, 15.64°, I 27
- hkl 0 2 1, 3.460 Å, 25.75°, I 42
- hkl 1 1 3, 3.425 Å, 26.01°, I 100
- hkl 2 0 2, 3.302 Å, 27.01°, I 27
- hkl 0 0 6, 3.185 Å, 28.01°, I 32
- hkl 2 0 5, 2.589 Å, 34.65°, I 22
- hkl 3 0 3, 2.201 Å, 41.01°, I 33
- hkl 2 2 0, 2.031 Å, 44.61°, I 34
- hkl 2 2 6, 1.713 Å, 53.51°, I 33